Structure and theoretical powder XRD pattern of KAlF4 (a crystal structure in the Materials Project, relaxed with PBE; Cu Kα).
Neutral-atom scattering factors, no anomalous dispersion.

Main lines, sorted by position (2θ from 15° to 90°):
24.89°, I = 84, hkl 0 0 2; 27.69°, I = 39, hkl 1 1 -2; 27.77°, I = 39, hkl 0 1 2; 28.16°, I = 100, hkl 1 2 0; 28.56°, I = 51, hkl 2 0 0; 40.59°, I = 31, hkl 2 2 -2; 44.82°, I = 53, hkl 0 3 2; 48.77°, I = 54, hkl 1 0 -4; 49.59°, I = 42, hkl 0 4 0; 50.34°, I = 33, hkl 3 2 0

Structure:
Cell lengths 6.5347, 7.3532, 7.4687 Å; angles 90.00, 106.96, 90.00 degrees
Fractional positions:
K1 0.0412 0.2500 0.1329
K2 0.0472 0.2500 0.6340
K3 0.9528 0.7500 0.3660
K4 0.9588 0.7500 0.8671
Al1 0.5000 0.0000 0.0000
Al2 0.5000 0.0000 0.5000
Al3 0.5000 0.5000 0.0000
Al4 0.5000 0.5000 0.5000
F1 0.2178 0.0350 0.4246
F2 0.2178 0.4650 0.4246
F3 0.2187 0.0371 0.9318
F4 0.2187 0.4629 0.9318
F5 0.4496 0.7500 0.9688
F6 0.4527 0.7500 0.5075
F7 0.4977 0.0200 0.7493
F8 0.4977 0.4800 0.7493
F9 0.5023 0.5200 0.2507
F10 0.5023 0.9800 0.2507
F11 0.5473 0.2500 0.4925
F12 0.5504 0.2500 0.0312
F13 0.7813 0.5371 0.0682
F14 0.7813 0.9629 0.0682
F15 0.7822 0.5350 0.5754
F16 0.7822 0.9650 0.5754